Entry 1:
Diffraction record for Cs2RbMoBr8. The powder XRD pattern is theoretical, not measured: it uses a structure optimized by DFT (PBE) and a wavelength of 1.5418 Å.

Atomic structure:
Cell: 6.359 10.899 7.921 Å, 90.00 105.28 90.00°
Atoms (fractional coordinates):
Cs  0.000  0.248  0.000
Cs  0.000  0.752  0.000
Rb  0.500  0.500  0.500
Mo  0.500  0.000  0.500
Br  0.048  0.500  0.739
Br  0.110  0.000  0.327
Br  0.419  0.167  0.700
Br  0.419  0.833  0.700
Br  0.581  0.167  0.300
Br  0.581  0.833  0.300
Br  0.890  0.000  0.673
Br  0.952  0.500  0.261

Top 8 peaks for 15 to 90 degrees two-theta, by intensity:
2θ/deg, intensity
29.11, 100.0
20.01, 51.4
20.82, 33.2
32.86, 29.1
34.89, 23.4
15.97, 23.4
49.08, 20.9
35.25, 16.3



Entry 2:
Diffraction record for Cs2TiMoBr6. The powder XRD pattern is theoretical, not measured: it uses a structure optimized by DFT (PBE) and a wavelength of 1.5418 Å.

Atomic structure:
Cell: 7.767 7.767 7.767 Å, 120.01 120.01 89.98°
Atoms (fractional coordinates):
Cs  0.250  0.750  0.500
Cs  0.750  0.250  0.500
Ti  0.000  0.000  0.000
Mo  0.500  0.500  0.000
Br  0.244  0.244  0.489
Br  0.244  0.756  0.000
Br  0.247  0.247  0.000
Br  0.753  0.753  0.000
Br  0.756  0.244  0.000
Br  0.756  0.756  0.511

Top 8 peaks for 15 to 90 degrees two-theta, by intensity:
2θ/deg, intensity
32.61, 100.0
28.14, 89.9
46.79, 70.6
55.49, 38.9
22.90, 36.1
77.77, 31.1
58.19, 24.2
86.89, 24.0



Entry 3:
Diffraction record for Cs2TlMoBr6. The powder XRD pattern is theoretical, not measured: it uses a structure optimized by DFT (PBE) and a wavelength of 1.5418 Å.

Atomic structure:
Cell: 8.202 8.202 8.202 Å, 60.00 60.00 60.00°
Atoms (fractional coordinates):
Cs  0.250  0.250  0.250
Cs  0.750  0.750  0.750
Tl  0.000  0.000  0.000
Mo  0.500  0.500  0.500
Br  0.274  0.274  0.726
Br  0.274  0.726  0.274
Br  0.274  0.726  0.726
Br  0.726  0.274  0.274
Br  0.726  0.274  0.726
Br  0.726  0.726  0.274

Top 8 peaks for 15 to 90 degrees two-theta, by intensity:
2θ/deg, intensity
30.83, 100.0
21.67, 76.4
44.17, 69.0
26.62, 35.7
38.00, 31.1
72.95, 26.4
15.28, 23.0
54.83, 22.7



Entry 4:
Diffraction record for Cs2Br7N. The powder XRD pattern is theoretical, not measured: it uses a structure optimized by DFT (PBE) and a wavelength of 1.5418 Å.

Atomic structure:
Cell: 7.567 7.567 7.567 Å, 118.12 118.12 93.28°
Atoms (fractional coordinates):
Cs  0.250  0.750  0.500
Cs  0.750  0.250  0.500
Br  0.000  0.000  0.000
Br  0.265  0.265  0.000
Br  0.279  0.279  0.558
Br  0.279  0.721  0.000
Br  0.721  0.279  0.000
Br  0.721  0.721  0.442
Br  0.735  0.735  0.000
N  0.500  0.500  0.000

Top 8 peaks for 15 to 90 degrees two-theta, by intensity:
2θ/deg, intensity
28.67, 100.0
32.55, 58.1
48.18, 36.4
34.53, 26.6
55.72, 25.1
46.70, 18.5
23.55, 17.4
59.36, 17.3



Entry 5:
Diffraction record for Cs3BrN4. The powder XRD pattern is theoretical, not measured: it uses a structure optimized by DFT (PBE) and a wavelength of 1.5418 Å.

Atomic structure:
Cell: 4.190 5.600 20.724 Å, 90.00 90.00 90.00°
Atoms (fractional coordinates):
Cs  0.000  0.000  0.000
Cs  0.000  0.500  0.162
Cs  0.000  0.500  0.838
Cs  0.500  0.000  0.338
Cs  0.500  0.000  0.662
Cs  0.500  0.500  0.500
Br  0.000  0.000  0.500
Br  0.500  0.500  0.000
N  0.000  0.500  0.306
N  0.000  0.500  0.362
N  0.000  0.500  0.638
N  0.000  0.500  0.694
N  0.500  0.000  0.138
N  0.500  0.000  0.194
N  0.500  0.000  0.806
N  0.500  0.000  0.862

Top 8 peaks for 15 to 90 degrees two-theta, by intensity:
2θ/deg, intensity
27.95, 100.0
31.78, 86.6
25.79, 60.1
20.42, 54.7
31.97, 38.8
41.52, 32.4
51.86, 22.3
61.45, 19.8



Entry 6:
Diffraction record for Cs2TlBr6N. The powder XRD pattern is theoretical, not measured: it uses a structure optimized by DFT (PBE) and a wavelength of 1.5418 Å.

Atomic structure:
Cell: 7.728 7.728 7.728 Å, 119.82 119.82 90.30°
Atoms (fractional coordinates):
Cs  0.250  0.750  0.500
Cs  0.750  0.250  0.500
Tl  0.000  0.000  0.000
Br  0.269  0.269  0.000
Br  0.278  0.278  0.555
Br  0.278  0.722  0.000
Br  0.722  0.278  0.000
Br  0.722  0.722  0.445
Br  0.731  0.731  0.000
N  0.500  0.500  0.000

Top 8 peaks for 15 to 90 degrees two-theta, by intensity:
2θ/deg, intensity
32.69, 100.0
28.26, 91.6
22.99, 89.4
47.03, 68.1
35.78, 52.2
32.87, 51.3
27.00, 36.0
46.90, 32.9